Record 1
This entry pairs a crystal structure of Li5Mn2Cu5O12 with its calculated X-ray powder pattern. Radiation: copper Kα. Structure: the GGA+U geometry in the Materials Project.
Intensities are scaled so that the largest is 100.

Structure:
abc: 5.0498 5.0498 9.6241
angles: 91.11 91.11 114.10
Positions (direct):
Li  0.0000  0.0000  0.0000
Li  0.2465  0.2456  0.7563
Li  0.4097  0.0662  0.2436
Li  0.7544  0.7535  0.2437
Li  0.9338  0.5903  0.7564
Mn  0.3307  0.6693  0.0000
Mn  0.8326  0.1674  0.5000
Cu  0.0812  0.4070  0.2471
Cu  0.1649  0.8351  0.5000
Cu  0.5019  0.4981  0.5000
Cu  0.5930  0.9188  0.7529
Cu  0.6693  0.3307  0.0000
O  0.0031  0.3482  0.9038
O  0.0758  0.7104  0.1334
O  0.0876  0.1070  0.3702
O  0.1612  0.4937  0.5965
O  0.2895  0.9242  0.8666
O  0.3917  0.3976  0.1231
O  0.5063  0.8388  0.4035
O  0.5732  0.2250  0.6271
O  0.6024  0.6083  0.8769
O  0.6518  0.9969  0.0962
O  0.7750  0.4268  0.3729
O  0.8930  0.9124  0.6298

Largest 10 diffraction maxima, by intensity, 2θ = 5–70°:
1.993 Å, 2θ = 45.51°, I = 100; 2.348 Å, 2θ = 38.33°, I = 78; 2.421 Å, 2θ = 37.14°, I = 55; 4.108 Å, 2θ = 21.63°, I = 44; 4.809 Å, 2θ = 18.45°, I = 43; 1.524 Å, 2θ = 60.79°, I = 35; 1.515 Å, 2θ = 61.16°, I = 32; 4.238 Å, 2θ = 20.96°, I = 23; 4.204 Å, 2θ = 21.13°, I = 23; 9.618 Å, 2θ = 9.19°, I = 20

---

Record 2
This entry pairs a crystal structure of Li4Mn5CuO12 with its calculated X-ray powder pattern. Radiation: copper Kα. Structure: the GGA+U geometry in the Materials Project.
Intensities are scaled so that the largest is 100.

Structure:
abc: 5.0961 5.1472 10.2654
angles: 88.85 88.17 60.50
Positions (direct):
Li  0.0000  0.0000  0.0000
Li  0.1675  0.0063  0.5003
Li  0.4929  0.0081  0.9997
Li  0.6737  0.9973  0.4999
Mn  0.0005  0.1730  0.7505
Mn  0.1663  0.8354  0.2502
Mn  0.4936  0.1790  0.2504
Mn  0.6715  0.8308  0.7509
Mn  0.8338  0.5000  0.2501
Cu  0.3360  0.5022  0.7497
O  0.1521  0.5068  0.3436
O  0.1687  0.1342  0.1378
O  0.3258  0.8749  0.8569
O  0.3467  0.1284  0.6428
O  0.4725  0.8597  0.3542
O  0.5070  0.5080  0.1575
O  0.6765  0.5031  0.6583
O  0.7005  0.1264  0.8578
O  0.8351  0.8580  0.1472
O  0.8654  0.1352  0.3616
O  0.9707  0.8778  0.6432
O  0.9968  0.5008  0.8419

Largest 10 diffraction maxima, by intensity, 2θ = 5–70°:
5.130 Å, 2θ = 17.29°, I = 100; 2.508 Å, 2θ = 35.80°, I = 15; 2.076 Å, 2θ = 43.59°, I = 9; 2.495 Å, 2θ = 36.00°, I = 8; 2.071 Å, 2θ = 43.70°, I = 8; 2.048 Å, 2θ = 44.23°, I = 8; 2.036 Å, 2θ = 44.50°, I = 8; 2.311 Å, 2θ = 38.98°, I = 8; 2.484 Å, 2θ = 36.17°, I = 8; 2.253 Å, 2θ = 40.03°, I = 7

---

Record 3
This entry pairs a crystal structure of Li2MnCuO4 with its calculated X-ray powder pattern. Radiation: copper Kα. Structure: the GGA+U geometry in the Materials Project.
Intensities are scaled so that the largest is 100.

Structure:
abc: 4.1617 4.1617 8.3262
angles: 90.00 90.00 90.00
Positions (direct):
Li  0.0000  0.0000  0.0000
Li  0.0000  0.5000  0.2500
Li  0.5000  0.0000  0.7500
Li  0.5000  0.5000  0.5000
Mn  0.0000  0.0000  0.5000
Mn  0.5000  0.5000  0.0000
Cu  0.0000  0.5000  0.7500
Cu  0.5000  0.0000  0.2500
O  0.0000  0.0000  0.2689
O  0.0000  0.0000  0.7311
O  0.0000  0.5000  0.5166
O  0.0000  0.5000  0.9834
O  0.5000  0.0000  0.0166
O  0.5000  0.0000  0.4834
O  0.5000  0.5000  0.2311
O  0.5000  0.5000  0.7689

Largest 10 diffraction maxima, by intensity, 2θ = 5–70°:
3.723 Å, 2θ = 23.90°, I = 100; 2.081 Å, 2θ = 43.49°, I = 73; 1.472 Å, 2θ = 63.19°, I = 40; 1.816 Å, 2θ = 50.23°, I = 24; 2.403 Å, 2θ = 37.42°, I = 20; 1.546 Å, 2θ = 59.82°, I = 18; 2.309 Å, 2θ = 39.01°, I = 16; 1.368 Å, 2θ = 68.58°, I = 4; 2.943 Å, 2θ = 30.37°, I = 1; 4.163 Å, 2θ = 21.34°, I = 1

---

Record 4
This entry pairs a crystal structure of Sr4LiMn2Cu3S4O4 with its calculated X-ray powder pattern. Radiation: copper Kα. Structure: the GGA+U geometry in the Materials Project.
Intensities are scaled so that the largest is 100.

Structure:
abc: 9.3141 9.3141 5.8275
angles: 90.00 90.00 143.54
Positions (direct):
Sr  0.0911  0.4049  0.2480
Sr  0.4049  0.0911  0.7520
Sr  0.5951  0.9089  0.7520
Sr  0.9089  0.5951  0.2480
Li  0.5000  0.5000  0.5000
Mn  0.0000  0.5000  0.7494
Mn  0.5000  0.0000  0.2506
Cu  0.0000  0.0000  0.0000
Cu  0.0000  0.0000  0.5000
Cu  0.5000  0.5000  0.0000
S  0.1731  0.3239  0.7512
S  0.3239  0.1731  0.2488
S  0.6761  0.8269  0.2488
S  0.8269  0.6761  0.7512
O  0.2501  0.7499  0.5000
O  0.2512  0.7488  0.0000
O  0.7488  0.2512  0.0000
O  0.7499  0.2501  0.5000

Largest 10 diffraction maxima, by intensity, 2θ = 5–70°:
2.685 Å, 2θ = 33.38°, I = 100; 2.060 Å, 2θ = 43.95°, I = 56; 2.433 Å, 2θ = 36.94°, I = 51; 1.634 Å, 2θ = 56.29°, I = 42; 2.767 Å, 2θ = 32.35°, I = 36; 2.914 Å, 2θ = 30.68°, I = 21; 2.155 Å, 2θ = 41.93°, I = 20; 1.512 Å, 2θ = 61.30°, I = 18; 1.457 Å, 2θ = 63.90°, I = 17; 4.013 Å, 2θ = 22.15°, I = 16

---

Record 5
This entry pairs a crystal structure of Sr4LiMn2Cu3S4O4 with its calculated X-ray powder pattern. Radiation: copper Kα. Structure: the GGA+U geometry in the Materials Project.
Intensities are scaled so that the largest is 100.

Structure:
abc: 5.8366 6.2893 8.9839
angles: 92.59 107.80 93.19
Positions (direct):
Sr  0.0000  0.0000  0.0000
Sr  0.1878  0.9560  0.4190
Sr  0.4911  0.5746  0.0178
Sr  0.7565  0.3982  0.4278
Li  0.6472  0.8143  0.3432
Mn  0.0995  0.4792  0.2139
Mn  0.5516  0.0826  0.1385
Cu  0.1407  0.2528  0.7303
Cu  0.6001  0.2602  0.7290
Cu  0.6494  0.6901  0.6897
S  0.3088  0.4655  0.5652
S  0.4280  0.0086  0.8570
S  0.7846  0.9925  0.5966
S  0.9348  0.4898  0.8793
O  0.3454  0.8378  0.1983
O  0.3937  0.3347  0.1957
O  0.8579  0.6751  0.2615
O  0.9060  0.1768  0.2335

Largest 10 diffraction maxima, by intensity, 2θ = 5–70°:
2.622 Å, 2θ = 34.20°, I = 100; 2.608 Å, 2θ = 34.39°, I = 87; 2.078 Å, 2θ = 43.55°, I = 82; 2.598 Å, 2θ = 34.52°, I = 81; 2.881 Å, 2θ = 31.04°, I = 70; 2.773 Å, 2θ = 32.28°, I = 65; 2.425 Å, 2θ = 37.07°, I = 64; 2.681 Å, 2θ = 33.43°, I = 61; 2.194 Å, 2θ = 41.14°, I = 54; 2.388 Å, 2θ = 37.66°, I = 45

---

Record 6
This entry pairs a crystal structure of Sr4LiMn2Cu3S4O4 with its calculated X-ray powder pattern. Radiation: copper Kα. Structure: the GGA+U geometry in the Materials Project.
Intensities are scaled so that the largest is 100.

Structure:
abc: 5.8407 6.0396 8.9840
angles: 107.33 90.08 90.06
Positions (direct):
Sr  0.0000  0.0000  0.0000
Sr  0.0025  0.2060  0.3858
Sr  0.5008  0.8174  0.4103
Sr  0.5038  0.5077  0.0078
Li  0.5030  0.3715  0.3481
Mn  0.0038  0.6024  0.1992
Mn  0.5008  0.0584  0.1283
Cu  0.2200  0.1296  0.7080
Cu  0.2329  0.6174  0.6961
Cu  0.7786  0.1352  0.7107
S  0.0104  0.8067  0.5487
S  0.0111  0.4464  0.8671
S  0.4979  0.9497  0.8412
S  0.4988  0.3101  0.5823
O  0.2536  0.8577  0.1922
O  0.2606  0.3532  0.2109
O  0.7433  0.3529  0.2076
O  0.7519  0.8601  0.1953

Largest 10 diffraction maxima, by intensity, 2θ = 5–70°:
2.098 Å, 2θ = 43.11°, I = 100; 2.621 Å, 2θ = 34.22°, I = 95; 2.693 Å, 2θ = 33.27°, I = 79; 2.414 Å, 2θ = 37.25°, I = 58; 2.516 Å, 2θ = 35.69°, I = 40; 2.811 Å, 2θ = 31.83°, I = 29; 2.764 Å, 2θ = 32.39°, I = 28; 1.637 Å, 2θ = 56.19°, I = 26; 2.920 Å, 2θ = 30.61°, I = 25; 1.460 Å, 2θ = 63.73°, I = 18